Simulated X-ray powder pattern
Compound: ScH6Br3N2
Radiation: copper Kα
Structure: the GGA-PBE geometry in the Materials Project
Neutral-atom scattering factors, no anomalous dispersion.

Most intense lines, 2θ = 10–90°, in order of falling intensity:
d (Å), 2theta, I_rel, (hkl)
2.896, 30.88, 100, 0 1 -4
2.862, 31.25, 99, 2 -3 0
3.082, 28.97, 64, 2 0 -2
3.121, 28.60, 62, 0 3 -2
3.148, 28.35, 60, 0 2 2
3.050, 29.28, 57, 2 -1 2
4.781, 18.56, 51, 1 1 0
4.105, 21.65, 46, -1 1 2
4.038, 22.01, 45, 1 -2 2
2.391, 37.62, 45, 2 2 0

Atomic structure:
abc: 7.3467 10.3389 11.5841
angles: 105.49 90.78 109.70
Sites, in units of the cell vectors:
Sc: 0.1677 0.2988 0.1975
Sc: 0.3122 0.7226 0.3035
Sc: 0.6878 0.2774 0.6965
Sc: 0.8323 0.7012 0.8025
H: 0.0692 0.3374 0.4347
H: 0.0832 0.2209 0.9452
H: 0.1499 0.3969 0.9952
H: 0.1553 0.2054 0.4071
H: 0.2808 0.1447 0.6660
H: 0.2829 0.0563 0.1508
H: 0.3071 0.3734 0.4446
H: 0.3171 0.3214 0.9755
H: 0.3642 0.0453 0.5609
H: 0.3711 0.0329 0.7001
H: 0.4412 0.1735 0.0955
H: 0.4621 0.1906 0.2413
H: 0.5379 0.8094 0.7587
H: 0.5588 0.8265 0.9045
H: 0.6289 0.9671 0.2999
H: 0.6358 0.9547 0.4391
H: 0.6829 0.6786 0.0245
H: 0.6929 0.6266 0.5554
H: 0.7171 0.9437 0.8492
H: 0.7192 0.8553 0.3340
H: 0.8447 0.7946 0.5929
H: 0.8501 0.6031 0.0048
H: 0.9168 0.7791 0.0548
H: 0.9308 0.6626 0.5653
Br: 0.0136 0.5122 0.7568
Br: 0.1265 0.9022 0.3455
Br: 0.1446 0.9221 0.8616
Br: 0.3357 0.7205 0.5325
Br: 0.3427 0.7285 0.0777
Br: 0.4915 0.4715 0.7420
Br: 0.5085 0.5285 0.2580
Br: 0.6573 0.2715 0.9223
Br: 0.6643 0.2795 0.4675
Br: 0.8554 0.0779 0.1384
Br: 0.8735 0.0978 0.6545
Br: 0.9864 0.4878 0.2432
N: 0.1771 0.3045 0.3959
N: 0.1820 0.3107 0.0041
N: 0.3621 0.1630 0.1676
N: 0.3905 0.1041 0.6502
N: 0.6095 0.8959 0.3498
N: 0.6379 0.8370 0.8324
N: 0.8180 0.6893 0.9959
N: 0.8229 0.6955 0.6041